Diffraction record for CrGaNiO4. The XRD peak list is calculated, not measured: it uses a structure optimized by DFT (GGA+U) and a wavelength of 1.5418 Å.
Lines closer than 0.1° are merged.

Cell and atoms:
```
data_CrGaNiO4
_cell_length_a 5.8652
_cell_length_b 5.9769
_cell_length_c 8.3915
_cell_angle_alpha 90.00
_cell_angle_beta 90.00
_cell_angle_gamma 90.00
_symmetry_space_group_name_H-M 'I m m a'
_symmetry_Int_Tables_number 74
_symmetry_space_group_name_Hall '-I 2b 2'
loop_
_atom_site_label
_atom_site_type_symbol
_atom_site_fract_x
_atom_site_fract_y
_atom_site_fract_z
Cr1 Cr 0.0000 0.0000 0.0000
Ga1 Ga 0.0000 0.2500 0.3672
Ni1 Ni 0.2500 0.2500 0.7500
O1 O 0.0000 0.0077 0.7600
O2 O 0.2358 0.2500 0.9996
```

The 12 most intense peaks (10 to 80 degrees two-theta), in order of falling intensity:
| index | d (Å) | I/Imax |
| --- | --- | --- |
| 0 1 3 | 2.536 | 100 |
| 2 1 1 | 2.512 | 82 |
| 2 2 4 | 1.482 | 61 |
| 1 1 2 | 2.963 | 50 |
| 1 0 3 | 2.525 | 36 |
| 0 1 5 | 1.617 | 34 |
| 2 2 0 | 2.093 | 19 |
| 3 2 1 | 1.606 | 17 |
| 0 2 0 | 2.988 | 17 |
| 0 4 0 | 1.494 | 16 |
| 4 0 0 | 1.466 | 15 |
| 0 2 2 | 2.434 | 10 |